Structure and simulated X-ray powder pattern of LiFe2C4O12 (a crystal structure in the Materials Project, relaxed with PBE+U; λ = 1.5418 Å (Cu Kα)).

Structural model:
```
LiFe2C4O12
1.0
5.455 0.000 0.000
0.947 9.924 0.000
0.916 2.113 9.759
Li Fe C O
2 4 8 24
direct
0.000 0.000 0.000
0.494 0.503 0.501
0.048 0.347 0.329
0.302 0.370 0.811
0.564 0.846 0.827
0.806 0.872 0.309
0.190 0.443 0.028
0.194 0.282 0.613
0.458 0.653 0.740
0.496 0.073 0.897
0.695 0.781 0.115
0.696 0.940 0.526
0.951 0.154 0.241
0.991 0.576 0.395
0.038 0.405 0.952
0.045 0.305 0.718
0.116 0.239 0.516
0.119 0.472 0.143
0.175 0.188 0.235
0.206 0.508 0.395
0.291 0.734 0.790
0.314 0.000 0.885
0.402 0.549 0.692
0.413 0.448 0.974
0.420 0.308 0.621
0.461 0.197 0.911
0.541 0.805 0.215
0.542 0.900 0.454
0.634 0.737 0.014
0.637 0.969 0.643
0.684 0.682 0.737
0.714 0.009 0.894
0.782 0.230 0.295
0.805 0.508 0.380
0.903 0.050 0.190
0.918 0.947 0.467
0.922 0.807 0.127
0.971 0.700 0.411
```

Main lines, by angle (10° ≤ 2θ ≤ 90°):
2theta	intensity
18.15	1000
18.29	259
19.35	840
27.20	137
28.56	87
30.79	118
30.92	134
40.95	82
45.56	93
56.45	86